1.
Mg8Ni3Pd: simulated powder diffraction line list (Cu Kα (weighted mean of Kα1 and Kα2)), based on a cell relaxed with PBE.
Kinematic intensities with the Lorentz-polarization factor, no thermal factor.

Top 10 peaks for 2θ = 10–90°, in order of rising 2θ:
d [Å], intensity
4.361, 81
4.310, 50
3.753, 26
2.455, 41
2.299, 27
2.285, 27
2.277, 43
2.270, 44
2.034, 51
2.022, 100

Structure:
Cell: 5.258 26.169 5.290 Å, 90.00 119.64 90.00°
Atoms (fractional coordinates):
1 Mg 0.000 0.057 0.000
2 Mg 0.000 0.107 0.500
3 Mg 0.000 0.224 0.500
4 Mg 0.000 0.441 0.000
5 Mg 0.000 0.556 0.000
6 Mg 0.000 0.608 0.500
7 Mg 0.000 0.724 0.500
8 Mg 0.000 0.941 0.000
9 Mg 0.173 0.330 0.840
10 Mg 0.173 0.831 0.839
11 Mg 0.333 0.667 0.160
12 Mg 0.335 0.165 0.166
13 Mg 0.339 0.498 0.678
14 Mg 0.341 0.000 0.675
15 Mg 0.500 0.273 0.500
16 Mg 0.500 0.389 0.500
17 Mg 0.500 0.773 0.500
18 Mg 0.500 0.889 0.500
19 Mg 0.659 0.000 0.325
20 Mg 0.661 0.498 0.322
21 Mg 0.665 0.165 0.834
22 Mg 0.667 0.667 0.840
23 Mg 0.827 0.330 0.160
24 Mg 0.827 0.831 0.161
25 Ni 0.000 0.248 0.000
26 Ni 0.000 0.749 0.000
27 Ni 0.500 0.082 0.000
28 Ni 0.500 0.082 0.500
29 Ni 0.500 0.248 0.000
30 Ni 0.500 0.415 0.000
31 Ni 0.500 0.582 0.000
32 Ni 0.500 0.749 0.000
33 Ni 0.500 0.915 0.000
34 Pd 0.000 0.415 0.500
35 Pd 0.000 0.915 0.500
36 Pd 0.500 0.582 0.500

---

2.
PrMgNi4: simulated powder diffraction line list (Cu Kα (weighted mean of Kα1 and Kα2)), based on a cell relaxed with PBE.
Kinematic intensities with the Lorentz-polarization factor, no thermal factor.

Top 10 peaks for 2θ = 10–90°, in order of rising 2θ:
d [Å], intensity
4.127, 17
3.574, 21
2.527, 33
2.155, 100
2.063, 35
1.598, 7
1.459, 12
1.376, 30
1.264, 22
1.130, 5

Structure:
Cell: 5.054 5.054 5.054 Å, 60.00 60.00 60.00°
Atoms (fractional coordinates):
1 Pr 0.000 0.000 0.000
2 Mg 0.250 0.250 0.250
3 Ni 0.130 0.623 0.623
4 Ni 0.623 0.130 0.623
5 Ni 0.623 0.623 0.130
6 Ni 0.623 0.623 0.623

---

3.
PrMg2Ni9: simulated powder diffraction line list (Cu Kα (weighted mean of Kα1 and Kα2)), based on a cell relaxed with PBE.
Kinematic intensities with the Lorentz-polarization factor, no thermal factor.

Top 10 peaks for 2θ = 10–90°, in order of rising 2θ:
d [Å], intensity
7.869, 38
3.444, 23
2.448, 22
2.112, 30
2.087, 20
2.079, 100
1.967, 29
1.934, 18
1.330, 22
1.224, 19

Structure:
Cell: 8.361 8.361 8.361 Å, 34.05 34.05 34.05°
Atoms (fractional coordinates):
1 Pr 0.000 0.000 0.000
2 Mg 0.145 0.145 0.145
3 Mg 0.855 0.855 0.855
4 Ni 0.083 0.586 0.586
5 Ni 0.334 0.334 0.334
6 Ni 0.414 0.414 0.917
7 Ni 0.414 0.917 0.414
8 Ni 0.500 0.500 0.500
9 Ni 0.586 0.083 0.586
10 Ni 0.586 0.586 0.083
11 Ni 0.666 0.666 0.666
12 Ni 0.917 0.414 0.414

---

4.
Pr2MgNi2: simulated powder diffraction line list (Cu Kα (weighted mean of Kα1 and Kα2)), based on a cell relaxed with PBE.
Kinematic intensities with the Lorentz-polarization factor, no thermal factor.

Top 10 peaks for 2θ = 10–90°, in order of rising 2θ:
d [Å], intensity
5.337, 20
3.774, 14
3.376, 16
2.713, 28
2.553, 100
2.387, 22
1.951, 13
1.831, 16
1.657, 16
1.335, 11

Structure:
Cell: 7.548 7.548 3.903 Å, 90.00 90.00 90.00°
Atoms (fractional coordinates):
1 Pr 0.175 0.325 0.000
2 Pr 0.325 0.825 0.000
3 Pr 0.675 0.175 0.000
4 Pr 0.825 0.675 0.000
5 Mg 0.000 0.000 0.500
6 Mg 0.500 0.500 0.500
7 Ni 0.119 0.619 0.500
8 Ni 0.381 0.119 0.500
9 Ni 0.619 0.881 0.500
10 Ni 0.881 0.381 0.500

---

5.
Pr2MgNi9: simulated powder diffraction line list (Cu Kα (weighted mean of Kα1 and Kα2)), based on a cell relaxed with PBE.
Kinematic intensities with the Lorentz-polarization factor, no thermal factor.

Top 10 peaks for 2θ = 10–90°, in order of rising 2θ:
d [Å], intensity
2.697, 26
2.496, 34
2.476, 24
2.153, 34
2.128, 16
2.122, 100
2.013, 20
1.973, 18
1.357, 22
1.248, 20

Structure:
Cell: 8.554 8.554 8.554 Å, 33.93 33.93 33.93°
Atoms (fractional coordinates):
1 Pr 0.000 0.000 0.000
2 Pr 0.148 0.148 0.148
3 Mg 0.282 0.282 0.282
4 Ni 0.062 0.560 0.560
5 Ni 0.227 0.725 0.725
6 Ni 0.476 0.476 0.476
7 Ni 0.560 0.062 0.560
8 Ni 0.560 0.560 0.062
9 Ni 0.642 0.642 0.642
10 Ni 0.725 0.227 0.725
11 Ni 0.725 0.725 0.227
12 Ni 0.810 0.810 0.810

---

6.
RbMg14Ni: simulated powder diffraction line list (Cu Kα (weighted mean of Kα1 and Kα2)), based on a cell relaxed with PBE.
Kinematic intensities with the Lorentz-polarization factor, no thermal factor.

Top 10 peaks for 2θ = 10–90°, in order of rising 2θ:
d [Å], intensity
5.566, 22
3.841, 17
2.783, 27
2.653, 23
2.465, 100
1.920, 17
1.607, 17
1.493, 15
1.374, 16
1.346, 13

Structure:
Cell: 6.427 6.427 10.613 Å, 90.00 90.00 120.00°
Atoms (fractional coordinates):
1 Rb 0.000 0.000 0.000
2 Mg 0.007 0.504 0.000
3 Mg 0.163 0.327 0.282
4 Mg 0.163 0.327 0.718
5 Mg 0.163 0.837 0.282
6 Mg 0.163 0.837 0.718
7 Mg 0.496 0.504 0.000
8 Mg 0.496 0.993 0.000
9 Mg 0.506 0.013 0.500
10 Mg 0.506 0.494 0.500
11 Mg 0.667 0.333 0.241
12 Mg 0.667 0.333 0.759
13 Mg 0.673 0.837 0.282
14 Mg 0.673 0.837 0.718
15 Mg 0.987 0.494 0.500
16 Ni 0.000 0.000 0.500

---

7.
RbMg6Ni: simulated powder diffraction line list (Cu Kα (weighted mean of Kα1 and Kα2)), based on a cell relaxed with PBE.
Kinematic intensities with the Lorentz-polarization factor, no thermal factor.

Top 10 peaks for 2θ = 10–90°, in order of rising 2θ:
d [Å], intensity
5.713, 27
5.223, 22
3.855, 22
2.814, 29
2.611, 37
2.506, 49
2.477, 100
1.914, 18
1.480, 19
1.389, 18

Structure:
Cell: 5.223 6.565 6.565 Å, 59.02 90.00 90.00°
Atoms (fractional coordinates):
1 Rb 0.000 0.000 0.000
2 Mg 0.000 0.005 0.498
3 Mg 0.000 0.498 0.005
4 Mg 0.500 0.179 0.179
5 Mg 0.500 0.195 0.643
6 Mg 0.500 0.643 0.195
7 Mg 0.500 0.660 0.660
8 Ni 0.000 0.497 0.497

---

8.
RbMg14Ni: simulated powder diffraction line list (Cu Kα (weighted mean of Kα1 and Kα2)), based on a cell relaxed with PBE.
Kinematic intensities with the Lorentz-polarization factor, no thermal factor.

Top 10 peaks for 2θ = 10–90°, in order of rising 2θ:
d [Å], intensity
5.270, 14
5.034, 17
2.766, 45
2.635, 44
2.517, 63
2.449, 100
1.908, 25
1.634, 14
1.483, 17
1.338, 17

Structure:
Cell: 10.540 6.543 6.543 Å, 57.74 90.00 90.00°
Atoms (fractional coordinates):
1 Rb 0.000 0.000 0.000
2 Mg 0.000 0.007 0.495
3 Mg 0.000 0.495 0.007
4 Mg 0.206 0.612 0.612
5 Mg 0.258 0.131 0.617
6 Mg 0.258 0.617 0.131
7 Mg 0.277 0.133 0.133
8 Mg 0.500 0.468 0.468
9 Mg 0.500 0.471 0.957
10 Mg 0.500 0.957 0.471
11 Mg 0.500 0.960 0.960
12 Mg 0.723 0.133 0.133
13 Mg 0.742 0.131 0.617
14 Mg 0.742 0.617 0.131
15 Mg 0.794 0.612 0.612
16 Ni 0.000 0.439 0.439

---

9.
RbMg6Ni: simulated powder diffraction line list (Cu Kα (weighted mean of Kα1 and Kα2)), based on a cell relaxed with PBE.
Kinematic intensities with the Lorentz-polarization factor, no thermal factor.

Top 10 peaks for 2θ = 10–90°, in order of rising 2θ:
d [Å], intensity
5.842, 66
3.852, 60
2.956, 60
2.921, 35
2.878, 41
2.712, 42
2.448, 100
2.245, 35
2.131, 26
1.729, 34

Structure:
Cell: 4.489 8.143 8.143 Å, 45.84 90.00 90.00°
Atoms (fractional coordinates):
1 Rb 0.000 0.000 0.000
2 Mg 0.000 0.440 0.963
3 Mg 0.000 0.446 0.446
4 Mg 0.000 0.963 0.440
5 Mg 0.500 0.087 0.572
6 Mg 0.500 0.572 0.087
7 Mg 0.500 0.610 0.610
8 Ni 0.500 0.191 0.191

---

10.
MgNi4S8: simulated powder diffraction line list (Cu Kα (weighted mean of Kα1 and Kα2)), based on a cell relaxed with PBE.
Kinematic intensities with the Lorentz-polarization factor, no thermal factor.

Top 10 peaks for 2θ = 10–90°, in order of rising 2θ:
d [Å], intensity
5.790, 100
3.028, 13
2.512, 46
2.498, 23
2.299, 15
1.933, 12
1.779, 8
1.772, 41
1.696, 7
1.403, 7

Structure:
Cell: 7.084 7.084 7.117 Å, 120.13 120.13 60.06°
Atoms (fractional coordinates):
1 Mg 0.000 0.000 0.000
2 Ni 0.415 0.864 0.140
3 Ni 0.863 0.863 0.587
4 Ni 0.864 0.415 0.140
5 Ni 0.864 0.864 0.141
6 S 0.074 0.645 0.360
7 S 0.130 0.130 0.386
8 S 0.131 0.131 0.875
9 S 0.131 0.614 0.874
10 S 0.614 0.131 0.874
11 S 0.644 0.644 0.357
12 S 0.644 0.644 0.931
13 S 0.645 0.074 0.360